Structure and theoretical powder XRD pattern of AgRh2Br (a DFT-relaxed cell (GGA-PBE, Alexandria); copper Kα).
Intensities are scaled so that the largest is 1000.

Atomic structure:
a b c (Å): 3.0248 3.0248 26.7045
angles (deg): 90.00 90.00 120.00
Space group R3m (No. 160, hexagonal axes)
One atom of each set of equivalent atoms:
Ag1 0.0000 0.0000 0.0000 [3 per cell]
Rh1 0.0000 0.0000 0.2487 [3 per cell]
Rh2 0.0000 0.0000 0.5091 [3 per cell]
Br1 0.0000 0.0000 0.7664 [3 per cell]

Main lines, in order of rising 2θ (15 to 90 degrees two-theta):
(1 0 4), d 2.439, I = 1000
(0 0 12), d 2.225, I = 198
(0 1 8), d 2.061, I = 549
(0 0 15), d 1.780, I = 79
(1 1 0), d 1.512, I = 224
(1 0 16), d 1.408, I = 105
(0 2 4), d 1.285, I = 125
(1 1 12), d 1.251, I = 177
(2 0 8), d 1.219, I = 96
(1 1 15), d 1.153, I = 53